# RbTl2VO6
Simulated X-ray powder pattern, copper Kα. Input: a cell relaxed with GGA+U.

Cell and atoms:
Unit cell a=8.078 b=8.078 c=6.871 alpha=104.89 beta=104.89 gamma=104.26
Atoms (fractional coordinates):
Rb 0.107 0.893 0.750
Rb 0.893 0.107 0.250
Tl 0.290 0.454 0.853
Tl 0.454 0.290 0.353
Tl 0.546 0.710 0.647
Tl 0.710 0.546 0.147
V 0.188 0.812 0.250
V 0.812 0.188 0.750
O 0.026 0.230 0.716
O 0.177 0.657 0.017
O 0.230 0.026 0.216
O 0.313 0.443 0.531
O 0.343 0.823 0.483
O 0.443 0.313 0.031
O 0.557 0.687 0.969
O 0.657 0.177 0.517
O 0.687 0.557 0.469
O 0.770 0.974 0.784
O 0.823 0.343 0.983
O 0.974 0.770 0.284

Main lines, in order of falling intensity (2θ = 15–90°):
- 2θ 29.4, intensity 100
- 2θ 19.9, intensity 96
- 2θ 30.6, intensity 78
- 2θ 23.5, intensity 59
- 2θ 27.0, intensity 54
- 2θ 28.0, intensity 44
- 2θ 32.3, intensity 44
- 2θ 21.6, intensity 40
- 2θ 51.2, intensity 36
- 2θ 42.5, intensity 35